No. 1
# RbH2AuO
Simulated powder diffraction line list, Cu Kα. Input: a structure optimized by DFT (PBE).
Lines closer than 0.1° are merged.

Atomic structure:
Unit cell a=4.490 b=4.864 c=5.510 alpha=90.00 beta=92.22 gamma=90.00
Sites, in units of the cell vectors:
Rb: 0.000 0.000 0.000
H: 0.512 0.162 0.454
H: 0.512 0.838 0.454
Au: 0.487 0.500 0.739
O: 0.519 0.000 0.342

Peak list (10 most intense, 10 to 80 degrees two-theta, sorted by position)
d 5.506, 2θ = 16.1°, I = 85; d 4.487, 2θ = 19.8°, I = 26; d 3.645, 2θ = 24.4°, I = 97; d 3.546, 2θ = 25.1°, I = 35; d 3.414, 2θ = 26.1°, I = 39; d 3.298, 2θ = 27.0°, I = 100; d 2.865, 2θ = 31.2°, I = 55; d 2.794, 2θ = 32.0°, I = 45; d 2.432, 2θ = 37.0°, I = 28; d 2.396, 2θ = 37.5°, I = 48

No. 2
# H6RuPb2Au
Simulated powder diffraction line list, Cu Kα. Input: a structure optimized by DFT (PBE).
Lines closer than 0.1° are merged.

Atomic structure:
Unit cell a=5.542 b=5.542 c=5.542 alpha=122.82 beta=122.82 gamma=85.18
Sites, in units of the cell vectors:
H: 0.213 0.213 0.000
H: 0.238 0.238 0.476
H: 0.238 0.762 0.000
H: 0.762 0.238 0.000
H: 0.762 0.762 0.524
H: 0.787 0.787 0.000
Ru: 0.000 0.000 0.000
Pb: 0.250 0.750 0.500
Pb: 0.750 0.250 0.500
Au: 0.500 0.500 0.000

Peak list (10 most intense, 10 to 80 degrees two-theta, sorted by position)
d 4.447, 2θ = 20.0°, I = 5; d 2.761, 2θ = 32.4°, I = 100; d 2.652, 2θ = 33.8°, I = 45; d 2.040, 2θ = 44.4°, I = 11; d 1.875, 2θ = 48.5°, I = 17; d 1.617, 2θ = 56.9°, I = 21; d 1.551, 2θ = 59.6°, I = 36; d 1.381, 2θ = 67.9°, I = 12; d 1.326, 2θ = 71.1°, I = 5; d 1.279, 2θ = 74.2°, I = 10

No. 3
# H2Pd9Au3
Simulated powder diffraction line list, Cu Kα. Input: a structure optimized by DFT (PBE).
Lines closer than 0.1° are merged.

Atomic structure:
Unit cell a=5.695 b=5.695 c=14.029 alpha=90.00 beta=90.00 gamma=120.00
Sites, in units of the cell vectors:
H: 0.333 0.667 0.157
H: 0.333 0.667 0.343
H: 0.667 0.333 0.657
H: 0.667 0.333 0.843
Pd: 0.002 0.501 0.750
Pd: 0.166 0.331 0.082
Pd: 0.166 0.331 0.418
Pd: 0.166 0.834 0.082
Pd: 0.166 0.834 0.418
Pd: 0.331 0.166 0.582
Pd: 0.331 0.166 0.918
Pd: 0.499 0.501 0.750
Pd: 0.499 0.998 0.750
Pd: 0.501 0.002 0.250
Pd: 0.501 0.499 0.250
Pd: 0.669 0.834 0.082
Pd: 0.669 0.834 0.418
Pd: 0.834 0.166 0.582
Pd: 0.834 0.166 0.918
Pd: 0.834 0.669 0.582
Pd: 0.834 0.669 0.918
Pd: 0.998 0.499 0.250
Au: 0.000 0.000 0.250
Au: 0.000 0.000 0.750
Au: 0.333 0.667 0.583
Au: 0.333 0.667 0.917
Au: 0.667 0.333 0.083
Au: 0.667 0.333 0.417

Peak list (10 most intense, 10 to 80 degrees two-theta, sorted by position)
d 2.429, 2θ = 37.0°, I = 33; d 2.338, 2θ = 38.5°, I = 61; d 2.327, 2θ = 38.7°, I = 91; d 2.181, 2θ = 41.4°, I = 100; d 2.017, 2θ = 44.9°, I = 58; d 1.852, 2θ = 49.2°, I = 16; d 1.429, 2θ = 65.3°, I = 20; d 1.424, 2θ = 65.6°, I = 38; d 1.318, 2θ = 71.6°, I = 20; d 1.216, 2θ = 78.7°, I = 45

No. 4
# H5Pd5Au
Simulated powder diffraction line list, Cu Kα. Input: a structure optimized by DFT (PBE).
Lines closer than 0.1° are merged.

Atomic structure:
Unit cell a=5.029 b=5.136 c=5.171 alpha=99.21 beta=101.75 gamma=118.92
Sites, in units of the cell vectors:
H: 0.000 0.000 0.000
H: 0.082 0.941 0.509
H: 0.272 0.683 0.982
H: 0.420 0.479 0.451
H: 0.682 0.454 0.079
Pd: 0.079 0.500 0.219
Pd: 0.257 0.343 0.719
Pd: 0.414 0.169 0.221
Pd: 0.743 0.837 0.214
Pd: 0.928 0.675 0.719
Au: 0.595 0.015 0.711

Peak list (10 most intense, 10 to 80 degrees two-theta, sorted by position)
d 2.412, 2θ = 37.3°, I = 100; d 2.406, 2θ = 37.4°, I = 99; d 2.129, 2θ = 42.5°, I = 35; d 2.110, 2θ = 42.9°, I = 35; d 2.024, 2θ = 44.8°, I = 30; d 1.499, 2θ = 61.9°, I = 23; d 1.467, 2θ = 63.4°, I = 21; d 1.277, 2θ = 74.3°, I = 19; d 1.270, 2θ = 74.8°, I = 13; d 1.267, 2θ = 75.0°, I = 13

No. 5
# H3Pd5Au2
Simulated powder diffraction line list, Cu Kα. Input: a structure optimized by DFT (PBE).
Lines closer than 0.1° are merged.

Atomic structure:
Unit cell a=7.726 b=7.726 c=7.726 alpha=125.14 beta=71.53 gamma=137.85
Sites, in units of the cell vectors:
H: 0.139 0.593 0.732
H: 0.250 0.250 0.000
H: 0.361 0.093 0.454
H: 0.639 0.907 0.546
H: 0.750 0.750 0.000
H: 0.861 0.407 0.268
Pd: 0.024 0.750 0.274
Pd: 0.087 0.841 0.927
Pd: 0.250 0.750 0.500
Pd: 0.413 0.341 0.754
Pd: 0.476 0.750 0.726
Pd: 0.524 0.250 0.274
Pd: 0.587 0.659 0.246
Pd: 0.750 0.250 0.500
Pd: 0.913 0.159 0.073
Pd: 0.976 0.250 0.726
Au: 0.127 0.220 0.347
Au: 0.373 0.720 0.092
Au: 0.627 0.280 0.908
Au: 0.873 0.780 0.653

Peak list (10 most intense, 10 to 80 degrees two-theta, sorted by position)
d 3.591, 2θ = 24.8°, I = 63; d 2.536, 2θ = 35.4°, I = 50; d 2.365, 2θ = 38.0°, I = 34; d 2.352, 2θ = 38.3°, I = 100; d 2.332, 2θ = 38.6°, I = 43; d 2.190, 2θ = 41.2°, I = 100; d 2.079, 2θ = 43.5°, I = 91; d 2.061, 2θ = 43.9°, I = 36; d 1.886, 2θ = 48.3°, I = 28; d 1.465, 2θ = 63.5°, I = 31

No. 6
# HPd6Au2
Simulated powder diffraction line list, Cu Kα. Input: a structure optimized by DFT (PBE).
Lines closer than 0.1° are merged.

Atomic structure:
Unit cell a=5.675 b=5.675 c=5.675 alpha=119.32 beta=119.32 gamma=91.18
Sites, in units of the cell vectors:
H: 0.000 0.000 0.000
Pd: 0.251 0.251 0.502
Pd: 0.251 0.749 0.000
Pd: 0.252 0.252 0.000
Pd: 0.748 0.748 0.000
Pd: 0.749 0.251 0.000
Pd: 0.749 0.749 0.498
Au: 0.250 0.750 0.500
Au: 0.750 0.250 0.500

Peak list (10 most intense, 10 to 80 degrees two-theta, sorted by position)
d 4.054, 2θ = 21.9°, I = 6; d 3.971, 2θ = 22.4°, I = 3; d 2.837, 2θ = 31.5°, I = 5; d 2.324, 2θ = 38.7°, I = 100; d 2.027, 2θ = 44.7°, I = 33; d 1.986, 2θ = 45.7°, I = 16; d 1.433, 2θ = 65.1°, I = 11; d 1.418, 2θ = 65.8°, I = 21; d 1.220, 2θ = 78.4°, I = 25; d 1.202, 2θ = 79.8°, I = 12

No. 7
# H6Pd6Au
Simulated powder diffraction line list, Cu Kα. Input: a structure optimized by DFT (PBE).
Lines closer than 0.1° are merged.

Atomic structure:
Unit cell a=4.682 b=4.682 c=7.857 alpha=90.00 beta=90.00 gamma=120.00
Sites, in units of the cell vectors:
H: 0.000 0.500 0.153
H: 0.000 0.500 0.847
H: 0.500 0.000 0.153
H: 0.500 0.000 0.847
H: 0.500 0.500 0.153
H: 0.500 0.500 0.847
Pd: 0.000 0.000 0.167
Pd: 0.000 0.000 0.833
Pd: 0.333 0.667 0.000
Pd: 0.333 0.667 0.500
Pd: 0.667 0.333 0.000
Pd: 0.667 0.333 0.500
Au: 0.000 0.000 0.500

Peak list (10 most intense, 10 to 80 degrees two-theta, sorted by position)
d 4.054, 2θ = 21.9°, I = 22; d 3.929, 2θ = 22.6°, I = 50; d 2.341, 2θ = 38.5°, I = 100; d 2.200, 2θ = 41.0°, I = 40; d 2.011, 2θ = 45.1°, I = 49; d 1.745, 2θ = 52.4°, I = 20; d 1.603, 2θ = 57.5°, I = 15; d 1.505, 2θ = 61.6°, I = 21; d 1.351, 2θ = 69.6°, I = 17; d 1.323, 2θ = 71.3°, I = 16

No. 8
# H4Pd5Au
Simulated powder diffraction line list, Cu Kα. Input: a structure optimized by DFT (PBE).
Lines closer than 0.1° are merged.

Atomic structure:
Unit cell a=2.967 b=5.963 c=6.609 alpha=74.82 beta=77.09 gamma=89.61
Sites, in units of the cell vectors:
H: 0.086 0.042 0.322
H: 0.256 0.654 0.988
H: 0.744 0.346 0.012
H: 0.914 0.958 0.678
Pd: 0.162 0.346 0.177
Pd: 0.170 0.837 0.166
Pd: 0.500 0.000 0.500
Pd: 0.830 0.163 0.834
Pd: 0.838 0.654 0.823
Au: 0.500 0.500 0.500

Peak list (10 most intense, 10 to 80 degrees two-theta, sorted by position)
d 2.462, 2θ = 36.5°, I = 100; d 2.415, 2θ = 37.2°, I = 97; d 2.408, 2θ = 37.3°, I = 96; d 2.377, 2θ = 37.9°, I = 93; d 2.110, 2θ = 42.9°, I = 64; d 2.095, 2θ = 43.2°, I = 63; d 2.069, 2θ = 43.7°, I = 60; d 1.494, 2θ = 62.1°, I = 41; d 1.460, 2θ = 63.8°, I = 21; d 1.252, 2θ = 76.0°, I = 23

No. 9
# PmH6Pd4Au
Simulated powder diffraction line list, Cu Kα. Input: a structure optimized by DFT (PBE).
Lines closer than 0.1° are merged.

Atomic structure:
Unit cell a=4.783 b=4.783 c=6.707 alpha=90.00 beta=90.00 gamma=120.00
Sites, in units of the cell vectors:
Pm: 0.000 0.000 0.000
H: 0.000 0.500 0.143
H: 0.000 0.500 0.857
H: 0.500 0.000 0.143
H: 0.500 0.000 0.857
H: 0.500 0.500 0.143
H: 0.500 0.500 0.857
Pd: 0.333 0.667 0.299
Pd: 0.333 0.667 0.701
Pd: 0.667 0.333 0.299
Pd: 0.667 0.333 0.701
Au: 0.000 0.000 0.500

Peak list (10 most intense, 10 to 80 degrees two-theta, sorted by position)
d 6.707, 2θ = 13.2°, I = 18; d 4.143, 2θ = 21.5°, I = 9; d 2.606, 2θ = 34.4°, I = 100; d 2.392, 2θ = 37.6°, I = 86; d 2.253, 2θ = 40.0°, I = 8; d 1.967, 2θ = 46.1°, I = 8; d 1.762, 2θ = 51.9°, I = 31; d 1.419, 2θ = 65.8°, I = 30; d 1.381, 2θ = 67.9°, I = 15; d 1.373, 2θ = 68.3°, I = 12

No. 10
# PmH7Pd2Au
Simulated powder diffraction line list, Cu Kα. Input: a structure optimized by DFT (PBE).
Lines closer than 0.1° are merged.

Atomic structure:
Unit cell a=8.528 b=8.528 c=8.528 alpha=154.86 beta=154.86 gamma=35.85
Sites, in units of the cell vectors:
Pm: 0.000 0.000 0.000
H: 0.104 0.604 0.500
H: 0.263 0.263 0.000
H: 0.396 0.896 0.500
H: 0.500 0.500 0.000
H: 0.606 0.106 0.500
H: 0.737 0.737 0.000
H: 0.894 0.394 0.500
Pd: 0.390 0.390 0.000
Pd: 0.610 0.610 0.000
Au: 0.750 0.250 0.500

Peak list (10 most intense, 10 to 80 degrees two-theta, sorted by position)
d 3.618, 2θ = 24.6°, I = 59; d 3.060, 2θ = 29.2°, I = 100; d 2.497, 2θ = 36.0°, I = 83; d 2.443, 2θ = 36.8°, I = 86; d 2.204, 2θ = 41.0°, I = 24; d 1.856, 2θ = 49.1°, I = 38; d 1.587, 2θ = 58.1°, I = 29; d 1.478, 2θ = 62.9°, I = 36; d 1.380, 2θ = 67.9°, I = 24; d 1.369, 2θ = 68.5°, I = 26

No. 11
# PrH6Pd4Au
Simulated powder diffraction line list, Cu Kα. Input: a structure optimized by DFT (PBE).
Lines closer than 0.1° are merged.

Atomic structure:
Unit cell a=4.804 b=4.804 c=6.760 alpha=90.00 beta=90.00 gamma=120.00
Sites, in units of the cell vectors:
Pr: 0.000 0.000 0.000
H: 0.000 0.500 0.147
H: 0.000 0.500 0.853
H: 0.500 0.000 0.147
H: 0.500 0.000 0.853
H: 0.500 0.500 0.147
H: 0.500 0.500 0.853
Pd: 0.333 0.667 0.301
Pd: 0.333 0.667 0.699
Pd: 0.667 0.333 0.301
Pd: 0.667 0.333 0.699
Au: 0.000 0.000 0.500

Peak list (10 most intense, 10 to 80 degrees two-theta, sorted by position)
d 6.760, 2θ = 13.1°, I = 20; d 2.623, 2θ = 34.2°, I = 100; d 2.402, 2θ = 37.4°, I = 87; d 2.263, 2θ = 39.8°, I = 9; d 1.981, 2θ = 45.8°, I = 9; d 1.772, 2θ = 51.6°, I = 31; d 1.426, 2θ = 65.5°, I = 30; d 1.387, 2θ = 67.5°, I = 15; d 1.382, 2θ = 67.8°, I = 11; d 1.201, 2θ = 79.9°, I = 10

No. 12
# H2PdPtAu
Simulated powder diffraction line list, Cu Kα. Input: a structure optimized by DFT (PBE).
Lines closer than 0.1° are merged.

Atomic structure:
Unit cell a=3.032 b=3.032 c=12.199 alpha=90.00 beta=90.00 gamma=90.00
Sites, in units of the cell vectors:
H: 0.000 0.500 0.000
H: 0.000 0.500 0.500
H: 0.500 0.000 0.000
H: 0.500 0.000 0.500
Pd: 0.000 0.000 0.099
Pd: 0.500 0.500 0.599
Pt: 0.000 0.000 0.415
Pt: 0.500 0.500 0.915
Au: 0.000 0.000 0.755
Au: 0.500 0.500 0.255

Peak list (10 most intense, 10 to 80 degrees two-theta, sorted by position)
d 6.100, 2θ = 14.5°, I = 9; d 2.942, 2θ = 30.4°, I = 4; d 2.431, 2θ = 37.0°, I = 100; d 2.144, 2θ = 42.1°, I = 35; d 2.033, 2θ = 44.6°, I = 14; d 1.516, 2θ = 61.1°, I = 12; d 1.475, 2θ = 63.0°, I = 21; d 1.286, 2θ = 73.6°, I = 27; d 1.237, 2θ = 77.1°, I = 11; d 1.215, 2θ = 78.7°, I = 11

No. 13
# Sc2HPd4Au2
Simulated powder diffraction line list, Cu Kα. Input: a structure optimized by DFT (PBE).
Lines closer than 0.1° are merged.

Atomic structure:
Unit cell a=5.784 b=5.784 c=5.784 alpha=120.09 beta=120.09 gamma=89.84
Sites, in units of the cell vectors:
Sc: 0.233 0.233 0.000
Sc: 0.767 0.767 0.000
H: 0.500 0.500 0.000
Pd: 0.251 0.251 0.502
Pd: 0.251 0.749 0.000
Pd: 0.749 0.251 0.000
Pd: 0.749 0.749 0.498
Au: 0.250 0.750 0.500
Au: 0.750 0.250 0.500

Peak list (10 most intense, 10 to 80 degrees two-theta, sorted by position)
d 4.085, 2θ = 21.8°, I = 22; d 2.892, 2θ = 30.9°, I = 20; d 2.360, 2θ = 38.1°, I = 100; d 2.048, 2θ = 44.2°, I = 16; d 2.042, 2θ = 44.4°, I = 33; d 1.831, 2θ = 49.8°, I = 6; d 1.668, 2θ = 55.0°, I = 9; d 1.445, 2θ = 64.5°, I = 31; d 1.234, 2θ = 77.3°, I = 12; d 1.232, 2θ = 77.5°, I = 25